Record 1
Simulated X-ray diffraction stick pattern
Compound: TbCd12Au6
Radiation: Cu Kα, 1.54184 Å
Structure: a cell relaxed with GGA-PBE

Most intense lines, 2θ = 5–70°, by angle:
2θ/deg	Rel. int.
23.5	48
25.2	30
28.2	22
30.9	55
32.2	51
37.0	100
38.1	89
40.8	62
42.3	88
44.8	22
45.7	54
60.6	31

Structure:
```
data_TbCd12Au6
_chemical_formula_sum 'Tb3 Cd36 Au18'
_space_group_name_H-M_alt 'R -3 m'
_space_group_IT_number 166
_space_group_name_Hall '-R 3 2"'
_cell_length_a 12.6726
_cell_length_b 12.6726
_cell_length_c 9.2638
_cell_angle_alpha 90.00
_cell_angle_beta 90.00
_cell_angle_gamma 120.00
loop_
_atom_site_label
_atom_site_type_symbol
_atom_site_fract_x
_atom_site_fract_y
_atom_site_fract_z
_atom_site_occupancy
Tb1 Tb 0.0000 0.0000 0.0000 1
Cd1 Cd 0.0000 0.3865 0.5000 1
Cd2 Cd 0.0818 0.1637 0.2971 1
Au1 Au 0.0549 0.5274 0.2379 1
```



Record 2
Simulated X-ray diffraction stick pattern
Compound: Tb3Cd2Au2
Radiation: Cu Kα, 1.54184 Å
Structure: a cell relaxed with GGA-PBE

Most intense lines, 2θ = 5–70°, by angle:
2θ/deg	Rel. int.
7.6	57
32.9	96
33.6	56
34.7	35
34.9	100
38.2	37
44.3	32
49.3	23
53.6	14
56.7	25
61.9	38
68.5	18

Structure:
```
data_Tb3Cd2Au2
_chemical_formula_sum 'Tb6 Cd4 Au4'
_space_group_name_H-M_alt 'C m m m'
_space_group_IT_number 65
_space_group_name_Hall '-C 2 2'
_cell_length_a 4.0899
_cell_length_b 23.1428
_cell_length_c 3.6935
_cell_angle_alpha 90.00
_cell_angle_beta 90.00
_cell_angle_gamma 90.00
loop_
_atom_site_label
_atom_site_type_symbol
_atom_site_fract_x
_atom_site_fract_y
_atom_site_fract_z
_atom_site_occupancy
Tb1 Tb 0.0000 0.0000 0.0000 1
Tb2 Tb 0.0000 0.1613 0.0000 1
Cd1 Cd 0.0000 0.4229 0.5000 1
Au1 Au 0.0000 0.2911 0.5000 1
```



Record 3
Simulated X-ray diffraction stick pattern
Compound: TbTlCdAu
Radiation: Cu Kα, 1.54184 Å
Structure: a cell relaxed with GGA-PBE

Most intense lines, 2θ = 5–70°, by angle:
2θ/deg	Rel. int.
21.4	1
24.8	4
35.3	100
41.6	1
43.6	1
50.8	18
57.3	2
63.4	37

Structure:
```
data_TbTlCdAu
_chemical_formula_sum 'Tb4 Tl4 Cd4 Au4'
_space_group_name_H-M_alt 'F -4 3 m'
_space_group_IT_number 216
_space_group_name_Hall 'F -4 2 3'
_cell_length_a 7.1920
_cell_length_b 7.1920
_cell_length_c 7.1920
_cell_angle_alpha 90.00
_cell_angle_beta 90.00
_cell_angle_gamma 90.00
loop_
_atom_site_label
_atom_site_type_symbol
_atom_site_fract_x
_atom_site_fract_y
_atom_site_fract_z
_atom_site_occupancy
Tb1 Tb 0.0000 0.0000 0.0000 1
Tl1 Tl 0.2500 0.2500 0.7500 1
Cd1 Cd 0.0000 0.0000 0.5000 1
Au1 Au 0.2500 0.2500 0.2500 1
```



Record 4
Simulated X-ray diffraction stick pattern
Compound: Cd2TcAu
Radiation: Cu Kα, 1.54184 Å
Structure: a cell relaxed with GGA-PBE

Most intense lines, 2θ = 5–70°, by angle:
2θ/deg	Rel. int.
14.5	10
21.3	3
25.9	10
34.6	5
36.5	100
38.1	89
41.0	4
43.4	92
60.1	3
60.7	11
63.0	40
65.2	9

Structure:
```
data_Cd2TcAu
_chemical_formula_sum 'Cd2 Tc1 Au1'
_space_group_name_H-M_alt 'P m m m'
_space_group_IT_number 47
_space_group_name_Hall '-P 2 2'
_cell_length_a 2.8623
_cell_length_b 4.1680
_cell_length_c 6.0992
_cell_angle_alpha 90.00
_cell_angle_beta 90.00
_cell_angle_gamma 90.00
loop_
_atom_site_label
_atom_site_type_symbol
_atom_site_fract_x
_atom_site_fract_y
_atom_site_fract_z
_atom_site_occupancy
Cd1 Cd 0.0000 0.0000 0.2417 1
Tc1 Tc 0.5000 0.5000 0.0000 1
Au1 Au 0.5000 0.5000 0.5000 1
```



Record 5
Simulated X-ray diffraction stick pattern
Compound: CdTeAu
Radiation: Cu Kα, 1.54184 Å
Structure: a cell relaxed with GGA-PBE

Most intense lines, 2θ = 5–70°, by angle:
2θ/deg	Rel. int.
11.1	100
22.7	16
24.0	49
30.0	17
31.3	30
33.5	82
38.1	31
40.0	40
41.3	43
42.3	17
44.1	26
47.2	16

Structure:
```
data_CdTeAu
_chemical_formula_sum 'Cd2 Te2 Au2'
_space_group_name_H-M_alt 'P 1 m 1'
_space_group_IT_number 6
_space_group_name_Hall 'P -2y'
_cell_length_a 4.6855
_cell_length_b 4.5039
_cell_length_c 8.0699
_cell_angle_alpha 90.00
_cell_angle_beta 100.38
_cell_angle_gamma 90.00
loop_
_atom_site_label
_atom_site_type_symbol
_atom_site_fract_x
_atom_site_fract_y
_atom_site_fract_z
_atom_site_occupancy
Cd1 Cd 0.0000 0.0000 0.0000 1
Cd2 Cd 0.4775 0.5000 0.9797 1
Te1 Te 0.4071 0.5000 0.5425 1
Te2 Te 0.5831 0.0000 0.2239 1
Au1 Au 0.2164 0.0000 0.6775 1
Au2 Au 0.9173 0.5000 0.7756 1
```



Record 6
Simulated X-ray diffraction stick pattern
Compound: CdTe4Au
Radiation: Cu Kα, 1.54184 Å
Structure: a cell relaxed with GGA-PBE

Most intense lines, 2θ = 5–70°, by angle:
2θ/deg	Rel. int.
17.1	3
19.8	2
28.2	33
33.2	100
34.7	33
40.3	2
49.9	14
53.1	35
58.3	29
66.0	6
68.7	12
69.6	13

Structure:
```
data_CdTe4Au
_chemical_formula_sum 'Cd4 Te16 Au4'
_space_group_name_H-M_alt 'F -4 3 m'
_space_group_IT_number 216
_space_group_name_Hall 'F -4 2 3'
_cell_length_a 8.9574
_cell_length_b 8.9574
_cell_length_c 8.9574
_cell_angle_alpha 90.00
_cell_angle_beta 90.00
_cell_angle_gamma 90.00
loop_
_atom_site_label
_atom_site_type_symbol
_atom_site_fract_x
_atom_site_fract_y
_atom_site_fract_z
_atom_site_occupancy
Cd1 Cd 0.0000 0.0000 0.0000 1
Te1 Te 0.1245 0.1245 0.6245 1
Au1 Au 0.2500 0.2500 0.2500 1
```



Record 7
Simulated X-ray diffraction stick pattern
Compound: Th2Cd6Au3
Radiation: Cu Kα, 1.54184 Å
Structure: a cell relaxed with GGA-PBE

Most intense lines, 2θ = 5–70°, by angle:
2θ/deg	Rel. int.
29.9	100
32.2	34
32.3	34
36.7	32
38.8	77
43.0	27
44.4	30
54.7	15
57.8	17
61.9	22
63.5	21
67.4	14

Structure:
```
data_Th2Cd6Au3
_chemical_formula_sum 'Th2 Cd6 Au3'
_space_group_name_H-M_alt 'P -6 2 m'
_space_group_IT_number 189
_space_group_name_Hall 'P -6 -2'
_cell_length_a 8.4867
_cell_length_b 8.4867
_cell_length_c 4.2085
_cell_angle_alpha 90.00
_cell_angle_beta 90.00
_cell_angle_gamma 120.00
loop_
_atom_site_label
_atom_site_type_symbol
_atom_site_fract_x
_atom_site_fract_y
_atom_site_fract_z
_atom_site_occupancy
Th1 Th 0.3333 0.6667 0.0000 1
Cd1 Cd 0.0000 0.1970 0.0000 1
Cd2 Cd 0.0000 0.7229 0.5000 1
Au1 Au 0.0000 0.4065 0.5000 1
```



Record 8
Simulated X-ray diffraction stick pattern
Compound: ThCd5Au2
Radiation: Cu Kα, 1.54184 Å
Structure: a cell relaxed with GGA-PBE

Most intense lines, 2θ = 5–70°, by angle:
2θ/deg	Rel. int.
20.7	27
29.4	47
31.0	46
32.4	22
33.7	100
38.0	36
40.9	41
41.0	17
42.0	50
43.1	35
54.9	30
60.9	30

Structure:
```
data_ThCd5Au2
_chemical_formula_sum 'Th2 Cd10 Au4'
_space_group_name_H-M_alt 'I m m m'
_space_group_IT_number 71
_space_group_name_Hall '-I 2 2'
_cell_length_a 4.1982
_cell_length_b 8.5966
_cell_length_c 10.2916
_cell_angle_alpha 90.00
_cell_angle_beta 90.00
_cell_angle_gamma 90.00
loop_
_atom_site_label
_atom_site_type_symbol
_atom_site_fract_x
_atom_site_fract_y
_atom_site_fract_z
_atom_site_occupancy
Th1 Th 0.0000 0.0000 0.0000 1
Cd1 Cd 0.0000 0.1857 0.3521 1
Cd2 Cd 0.0000 0.5000 0.0000 1
Au1 Au 0.0000 0.5000 0.2860 1
```



What did the third record say?
Simulated X-ray diffraction stick pattern
Compound: TbTlCdAu
Radiation: Cu Kα, 1.54184 Å
Structure: a cell relaxed with GGA-PBE

Most intense lines, 2θ = 5–70°, by angle:
2θ/deg	Rel. int.
21.4	1
24.8	4
35.3	100
41.6	1
43.6	1
50.8	18
57.3	2
63.4	37

Structure:
```
data_TbTlCdAu
_chemical_formula_sum 'Tb4 Tl4 Cd4 Au4'
_space_group_name_H-M_alt 'F -4 3 m'
_space_group_IT_number 216
_space_group_name_Hall 'F -4 2 3'
_cell_length_a 7.1920
_cell_length_b 7.1920
_cell_length_c 7.1920
_cell_angle_alpha 90.00
_cell_angle_beta 90.00
_cell_angle_gamma 90.00
loop_
_atom_site_label
_atom_site_type_symbol
_atom_site_fract_x
_atom_site_fract_y
_atom_site_fract_z
_atom_site_occupancy
Tb1 Tb 0.0000 0.0000 0.0000 1
Tl1 Tl 0.2500 0.2500 0.7500 1
Cd1 Cd 0.0000 0.0000 0.5000 1
Au1 Au 0.2500 0.2500 0.2500 1
```